Entry 1:
Starting from a cell relaxed with PBE+U, the powder X-ray diffraction pattern of BaMgWF7 was simulated for a wavelength of 1.5418 Å.

Crystal structure
Cell lengths 5.7475, 10.3319, 9.9592 Å; angles 90.00, 92.38, 90.00 degrees
Sites, in units of the cell vectors:
Ba 0.2327 0.1687 0.0051
Ba 0.2327 0.3313 0.5051
Ba 0.7673 0.6687 0.4949
Ba 0.7673 0.8313 0.9949
Mg 0.1849 0.6098 0.8085
Mg 0.1849 0.8902 0.3085
Mg 0.8151 0.1098 0.6915
Mg 0.8151 0.3902 0.1915
W 0.3048 0.6095 0.1826
W 0.3048 0.8905 0.6826
W 0.6952 0.1095 0.3174
W 0.6952 0.3905 0.8174
F 0.0121 0.7181 0.2470
F 0.0121 0.7819 0.7470
F 0.0969 0.5398 0.6326
F 0.0969 0.9602 0.1326
F 0.1281 0.0625 0.6248
F 0.1281 0.4375 0.1248
F 0.2360 0.6957 0.9901
F 0.2360 0.8043 0.4901
F 0.3685 0.0399 0.3741
F 0.3685 0.4601 0.8741
F 0.3969 0.5418 0.3758
F 0.3969 0.9582 0.8758
F 0.4675 0.7138 0.7439
F 0.4675 0.7862 0.2439
F 0.5325 0.2138 0.7561
F 0.5325 0.2862 0.2561
F 0.6031 0.0418 0.1242
F 0.6031 0.4582 0.6242
F 0.6315 0.5399 0.1259
F 0.6315 0.9601 0.6259
F 0.7640 0.1957 0.5099
F 0.7640 0.3043 0.0099
F 0.8719 0.5625 0.8752
F 0.8719 0.9375 0.3752
F 0.9031 0.0398 0.8674
F 0.9031 0.4602 0.3674
F 0.9879 0.2181 0.2530
F 0.9879 0.2819 0.7530

Largest 10 diffraction maxima, in order of rising 2θ, 2θ = 10–80°:
2θ (°), I_rel
19.4, 50.9
20.1, 37.1
23.2, 25.0
24.6, 100.0
24.7, 34.1
25.7, 68.5
28.3, 47.6
31.1, 28.8
51.4, 28.8
52.4, 28.1

Entry 2:
Starting from a cell relaxed with PBE+U, the powder X-ray diffraction pattern of Ba2MnF6 was simulated for a wavelength of 1.5418 Å.

Crystal structure
Cell lengths 6.0592, 6.0592, 4.4750 Å; angles 90.00, 90.00, 120.00 degrees
Sites, in units of the cell vectors:
Ba 0.3333 0.6667 0.2319
Ba 0.6667 0.3333 0.7681
Mn 0.0000 0.0000 0.5000
F 0.1766 0.3532 0.7368
F 0.1766 0.8234 0.7368
F 0.3532 0.1766 0.2632
F 0.6468 0.8234 0.7368
F 0.8234 0.1766 0.2632
F 0.8234 0.6468 0.2632

Largest 10 diffraction maxima, in order of rising 2θ, 2θ = 10–80°:
2θ (°), I_rel
16.9, 13.4
26.2, 100.0
29.5, 73.2
39.8, 89.9
44.0, 20.4
50.3, 39.0
52.3, 14.5
53.8, 18.7
61.2, 19.3
67.7, 15.2

Entry 3:
Starting from a cell relaxed with PBE+U, the powder X-ray diffraction pattern of Ba2MnF6 was simulated for a wavelength of 1.5418 Å.

Crystal structure
Cell lengths 7.1642, 7.1642, 7.1642 Å; angles 145.07, 130.74, 61.80 degrees
Sites, in units of the cell vectors:
Ba 0.1620 0.1620 0.0000
Ba 0.8380 0.8380 0.0000
Mn 0.5000 0.5000 0.0000
F 0.1234 0.3536 0.7698
F 0.2823 0.0000 0.2823
F 0.4161 0.6464 0.7698
F 0.5839 0.3536 0.2302
F 0.7177 0.0000 0.7177
F 0.8766 0.6464 0.2302

Largest 10 diffraction maxima, in order of rising 2θ, 2θ = 10–80°:
2θ (°), I_rel
25.5, 100.0
26.4, 89.7
30.1, 25.8
42.0, 23.6
43.0, 83.2
44.2, 17.9
50.3, 29.5
50.5, 14.2
51.0, 14.6
51.7, 26.6

Entry 4:
Starting from a cell relaxed with PBE+U, the powder X-ray diffraction pattern of Ba5Mn3O12F was simulated for a wavelength of 1.5418 Å.

Crystal structure
Cell lengths 10.5358, 10.5358, 7.9596 Å; angles 90.00, 90.00, 120.00 degrees
Sites, in units of the cell vectors:
Ba 0.0138 0.7586 0.2500
Ba 0.2414 0.2552 0.2500
Ba 0.2552 0.0138 0.7500
Ba 0.3333 0.6667 0.5019
Ba 0.3333 0.6667 0.9981
Ba 0.6667 0.3333 0.0019
Ba 0.6667 0.3333 0.4981
Ba 0.7448 0.9862 0.2500
Ba 0.7586 0.7448 0.7500
Ba 0.9862 0.2414 0.7500
Mn 0.0322 0.6326 0.7500
Mn 0.3674 0.3997 0.7500
Mn 0.3997 0.0322 0.2500
Mn 0.6003 0.9678 0.7500
Mn 0.6326 0.6003 0.2500
Mn 0.9678 0.3674 0.2500
O 0.0920 0.7455 0.5774
O 0.0920 0.7455 0.9226
O 0.1239 0.5354 0.7500
O 0.1551 0.4797 0.2500
O 0.2545 0.3465 0.5774
O 0.2545 0.3465 0.9226
O 0.3246 0.8449 0.2500
O 0.3465 0.0920 0.0774
O 0.3465 0.0920 0.4226
O 0.4115 0.8761 0.7500
O 0.4646 0.5885 0.7500
O 0.4797 0.3246 0.7500
O 0.5203 0.6754 0.2500
O 0.5354 0.4115 0.2500
O 0.5885 0.1239 0.2500
O 0.6535 0.9080 0.5774
O 0.6535 0.9080 0.9226
O 0.6754 0.1551 0.7500
O 0.7455 0.6535 0.0774
O 0.7455 0.6535 0.4226
O 0.8449 0.5203 0.7500
O 0.8761 0.4646 0.2500
O 0.9080 0.2545 0.0774
O 0.9080 0.2545 0.4226
F 0.0000 0.0000 0.2500
F 0.0000 0.0000 0.7500

Largest 10 diffraction maxima, in order of rising 2θ, 2θ = 10–80°:
2θ (°), I_rel
24.4, 30.6
25.8, 30.7
28.1, 79.3
28.2, 100.0
29.4, 51.8
41.1, 33.7
43.0, 35.6
44.8, 22.2
45.6, 36.0
45.9, 25.2

Entry 5:
Starting from a cell relaxed with PBE+U, the powder X-ray diffraction pattern of Ba5Mn3O12F was simulated for a wavelength of 1.5418 Å.

Crystal structure
Cell lengths 10.4871, 10.4871, 7.7860 Å; angles 90.00, 90.00, 120.00 degrees
Sites, in units of the cell vectors:
Ba 0.0096 0.2400 0.2500
Ba 0.2304 0.9904 0.2500
Ba 0.2400 0.2304 0.7500
Ba 0.3333 0.6667 0.5025
Ba 0.3333 0.6667 0.9975
Ba 0.6667 0.3333 0.0025
Ba 0.6667 0.3333 0.4975
Ba 0.7600 0.7696 0.2500
Ba 0.7696 0.0096 0.7500
Ba 0.9904 0.7600 0.7500
Mn 0.0283 0.4014 0.7500
Mn 0.3731 0.9717 0.7500
Mn 0.4014 0.3731 0.2500
Mn 0.5986 0.6269 0.7500
Mn 0.6269 0.0283 0.2500
Mn 0.9717 0.5986 0.2500
O 0.0909 0.3487 0.5755
O 0.0909 0.3487 0.9245
O 0.1157 0.5908 0.7500
O 0.1603 0.6834 0.2500
O 0.2579 0.9091 0.5755
O 0.2579 0.9091 0.9245
O 0.3166 0.4769 0.2500
O 0.3487 0.2579 0.0755
O 0.3487 0.2579 0.4245
O 0.4092 0.5249 0.7500
O 0.4751 0.8843 0.7500
O 0.4769 0.1603 0.7500
O 0.5231 0.8397 0.2500
O 0.5249 0.1157 0.2500
O 0.5908 0.4751 0.2500
O 0.6513 0.7421 0.5755
O 0.6513 0.7421 0.9245
O 0.6834 0.5231 0.7500
O 0.7421 0.0909 0.0755
O 0.7421 0.0909 0.4245
O 0.8397 0.3166 0.7500
O 0.8843 0.4092 0.2500
O 0.9091 0.6513 0.0755
O 0.9091 0.6513 0.4245
F 0.0000 0.0000 0.0000
F 0.0000 0.0000 0.5000

Largest 10 diffraction maxima, in order of rising 2θ, 2θ = 10–80°:
2θ (°), I_rel
24.9, 22.2
26.0, 31.6
28.4, 100.0
28.6, 76.7
29.5, 36.3
41.5, 34.7
43.7, 33.9
45.8, 23.1
46.3, 19.1
68.9, 15.7

Entry 6:
Starting from a cell relaxed with PBE+U, the powder X-ray diffraction pattern of Ba2MnOF5 was simulated for a wavelength of 1.5418 Å.

Crystal structure
Cell lengths 5.8800, 5.8800, 5.8800 Å; angles 121.39, 121.39, 87.61 degrees
Sites, in units of the cell vectors:
Ba 0.0000 0.5000 0.5000
Ba 0.5000 0.0000 0.5000
Mn 0.2396 0.2396 0.0000
O 0.0292 0.0292 0.0000
F 0.0146 0.0146 0.5201
F 0.0146 0.4946 0.0000
F 0.4781 0.4781 0.0000
F 0.4946 0.0146 0.0000
F 0.4946 0.4946 0.4799

Largest 10 diffraction maxima, in order of rising 2θ, 2θ = 10–80°:
2θ (°), I_rel
18.6, 20.1
20.9, 19.8
21.8, 39.0
30.4, 100.0
31.1, 44.9
37.8, 70.2
42.6, 21.5
44.5, 38.9
54.9, 37.7
63.3, 24.1

Entry 7:
Starting from a cell relaxed with PBE+U, the powder X-ray diffraction pattern of BaMnSF2 was simulated for a wavelength of 1.5418 Å.

Crystal structure
Cell lengths 6.6107, 6.6107, 6.6107 Å; angles 123.01, 123.01, 84.87 degrees
Sites, in units of the cell vectors:
Ba 0.2500 0.7500 0.5000
Ba 0.7500 0.2500 0.5000
Mn 0.0000 0.0000 0.0000
Mn 0.5000 0.5000 0.0000
S 0.2500 0.2500 0.0000
S 0.7500 0.7500 0.0000
F 0.1763 0.6763 0.8525
F 0.3237 0.1763 0.5000
F 0.6763 0.8237 0.5000
F 0.8237 0.3237 0.1475

Largest 10 diffraction maxima, in order of rising 2θ, 2θ = 10–80°:
2θ (°), I_rel
27.1, 100.0
28.3, 82.4
33.8, 45.9
36.8, 35.0
40.4, 43.3
47.1, 39.2
49.4, 51.8
55.9, 32.0
66.3, 17.8
78.3, 25.4

Entry 8:
Starting from a cell relaxed with PBE+U, the powder X-ray diffraction pattern of BaMnSnF6 was simulated for a wavelength of 1.5418 Å.

Crystal structure
Cell lengths 6.1379, 6.1379, 4.4940 Å; angles 90.00, 90.00, 120.00 degrees
Sites, in units of the cell vectors:
Ba 0.0000 0.0000 0.0000
Mn 0.6667 0.3333 0.3529
Sn 0.3333 0.6667 0.4374
F 0.0202 0.5762 0.1030
F 0.3126 0.0718 0.5353
F 0.4238 0.4440 0.1030
F 0.5560 0.9798 0.1030
F 0.7592 0.6874 0.5353
F 0.9282 0.2408 0.5353

Largest 10 diffraction maxima, in order of rising 2θ, 2θ = 10–80°:
2θ (°), I_rel
16.7, 13.6
26.0, 100.0
29.1, 67.0
39.4, 67.4
43.7, 13.5
49.7, 41.7
50.3, 25.7
51.6, 21.6
60.3, 13.7
66.8, 14.3

Entry 9:
Starting from a cell relaxed with PBE+U, the powder X-ray diffraction pattern of BaMnVF7 was simulated for a wavelength of 1.5418 Å.

Crystal structure
Cell lengths 7.2535, 7.2535, 15.8784 Å; angles 90.10, 90.10, 42.40 degrees
Sites, in units of the cell vectors:
Ba 0.1350 0.2611 0.1298
Ba 0.2611 0.1350 0.6298
Ba 0.7389 0.8650 0.3702
Ba 0.8650 0.7389 0.8702
Mn 0.0624 0.1368 0.3749
Mn 0.1368 0.0624 0.8749
Mn 0.8632 0.9376 0.1251
Mn 0.9376 0.8632 0.6251
V 0.4346 0.5654 0.2500
V 0.5000 0.5000 0.0000
V 0.5000 0.5000 0.5000
V 0.5654 0.4346 0.7500
F 0.1006 0.6121 0.2195
F 0.1127 0.7195 0.4981
F 0.1483 0.7995 0.3389
F 0.1700 0.3286 0.3925
F 0.1879 0.6013 0.7334
F 0.1902 0.5724 0.0359
F 0.2005 0.8517 0.1611
F 0.2805 0.8873 0.0019
F 0.3286 0.1700 0.8925
F 0.3340 0.6171 0.8814
F 0.3829 0.6660 0.6186
F 0.3879 0.8994 0.2805
F 0.3987 0.8121 0.7666
F 0.4276 0.8098 0.4641
F 0.5724 0.1902 0.5359
F 0.6013 0.1879 0.2334
F 0.6121 0.1006 0.7195
F 0.6171 0.3340 0.3814
F 0.6660 0.3829 0.1186
F 0.6714 0.8300 0.1075
F 0.7195 0.1127 0.9981
F 0.7995 0.1483 0.8389
F 0.8098 0.4276 0.9641
F 0.8121 0.3987 0.2666
F 0.8300 0.6714 0.6075
F 0.8517 0.2005 0.6611
F 0.8873 0.2805 0.5019
F 0.8994 0.3879 0.7805

Largest 10 diffraction maxima, in order of rising 2θ, 2θ = 10–80°:
2θ (°), I_rel
21.3, 31.1
22.4, 23.0
26.0, 100.0
28.4, 35.6
28.7, 32.0
29.0, 54.9
41.7, 25.0
43.4, 24.9
44.0, 25.6
53.4, 21.7

Entry 10:
Starting from a cell relaxed with PBE+U, the powder X-ray diffraction pattern of BaMoF7 was simulated for a wavelength of 1.5418 Å.

Crystal structure
Cell lengths 5.6469, 10.1338, 10.5157 Å; angles 90.00, 92.44, 90.00 degrees
Sites, in units of the cell vectors:
Ba 0.1915 0.1696 0.0109
Ba 0.1915 0.3304 0.5109
Ba 0.8085 0.6696 0.4891
Ba 0.8085 0.8304 0.9891
Mo 0.3322 0.6013 0.1860
Mo 0.3322 0.8987 0.6860
Mo 0.6678 0.1013 0.3140
Mo 0.6678 0.3987 0.8140
F 0.0589 0.6893 0.2463
F 0.0589 0.8107 0.7463
F 0.1079 0.5421 0.6150
F 0.1079 0.9579 0.1150
F 0.1779 0.0572 0.6272
F 0.1779 0.4428 0.1272
F 0.2606 0.6936 0.0260
F 0.2606 0.8064 0.5260
F 0.3883 0.0291 0.3767
F 0.3883 0.4709 0.8767
F 0.3939 0.5366 0.3600
F 0.3939 0.9634 0.8600
F 0.4677 0.2505 0.2618
F 0.4677 0.2495 0.7618
F 0.5323 0.7505 0.2382
F 0.5323 0.7495 0.7382
F 0.6061 0.0366 0.1400
F 0.6061 0.4634 0.6400
F 0.6117 0.5291 0.1233
F 0.6117 0.9709 0.6233
F 0.7394 0.1936 0.4740
F 0.7394 0.3064 0.9740
F 0.8221 0.5572 0.8728
F 0.8221 0.9428 0.3728
F 0.8921 0.0421 0.8850
F 0.8921 0.4579 0.3850
F 0.9411 0.1893 0.2537
F 0.9411 0.3107 0.7537

Largest 10 diffraction maxima, in order of rising 2θ, 2θ = 10–80°:
2θ (°), I_rel
19.4, 67.9
20.2, 70.4
22.6, 63.6
24.3, 33.7
24.9, 100.0
25.3, 95.7
26.9, 45.2
38.6, 32.3
40.1, 43.9
50.3, 36.5